This entry pairs a crystal structure of KCo2Te3 with its calculated XRD peak list. Radiation: Cu Kα (weighted mean of Kα1 and Kα2). Structure: DFT lattice parameters and positions (PBE).
Kinematic intensities with the Lorentz-polarization factor, no thermal factor.

Main lines, sorted by position (10 to 90 degrees two-theta):
| Position (°2θ) | I/Imax |
| --- | --- |
| 11.09 | 100 |
| 28.79 | 18 |
| 29.67 | 16 |
| 30.51 | 19 |
| 30.92 | 40 |
| 32.69 | 18 |
| 39.14 | 19 |
| 42.94 | 20 |

Crystal structure
```
KCo2Te3
1.0
8.770 0.000 0.000
0.000 3.849 0.000
-4.122 0.000 9.033
K Co Te
2 4 6
Direct
0.023 0.250 0.276 K
0.977 0.750 0.724 K
0.474 0.250 0.162 Co
0.485 0.750 0.402 Co
0.515 0.250 0.598 Co
0.526 0.750 0.838 Co
0.268 0.750 0.145 Te
0.323 0.750 0.559 Te
0.348 0.250 0.876 Te
0.652 0.750 0.124 Te
0.677 0.250 0.441 Te
0.732 0.250 0.855 Te
```


This entry pairs a crystal structure of KSrHoTe3 with its calculated XRD peak list. Radiation: Cu Kα (weighted mean of Kα1 and Kα2). Structure: DFT lattice parameters and positions (PBE).
Kinematic intensities with the Lorentz-polarization factor, no thermal factor.

Main lines, sorted by position (10 to 90 degrees two-theta):
| Position (°2θ) | I/Imax |
| --- | --- |
| 25.56 | 100 |
| 28.22 | 70 |
| 31.63 | 60 |
| 38.05 | 36 |
| 38.82 | 26 |
| 39.67 | 30 |
| 41.75 | 37 |
| 49.39 | 30 |

Crystal structure
```
KSrHoTe3
1.0
9.793 -2.272 0.000
9.793 2.272 0.000
-2.696 0.000 10.526
K Sr Ho Te
2 2 2 6
Direct
0.144 0.144 0.068 K
0.856 0.856 0.932 K
0.496 0.496 0.284 Sr
0.504 0.504 0.716 Sr
0.173 0.173 0.582 Ho
0.827 0.827 0.418 Ho
0.000 0.000 0.500 Te
0.325 0.325 0.227 Te
0.332 0.332 0.621 Te
0.500 0.500 0.000 Te
0.668 0.668 0.379 Te
0.675 0.675 0.773 Te
```